Hf4BiN2: calculated powder X-ray diffraction pattern (Cu Kα (weighted mean of Kα1 and Kα2)), based on a cell relaxed with GGA-PBE.

Atomic structure:
```
Hf4BiN2
1.0
5.799 -3.746 0.000
5.799 3.746 0.000
-5.721 0.000 6.103
Hf Bi N
8 2 4
Cartesian
-1.797 0.000 2.078
-0.411 1.611 4.444
1.866 1.428 2.047
4.159 -0.184 0.419
6.288 1.611 1.659
4.010 1.428 4.056
1.718 -0.184 5.684
7.673 0.000 4.026
2.938 -1.148 3.052
5.799 -2.970 0.000
-1.723 -0.162 4.330
1.758 1.562 4.270
4.118 1.562 1.833
7.600 -0.162 1.773
```

Top 10 peaks for 10 to 80 degrees two-theta, most intense first:
| two_theta | intensity |
| --- | --- |
| 34.0 | 100 |
| 34.4 | 94 |
| 37.6 | 70 |
| 32.1 | 58 |
| 41.3 | 47 |
| 31.9 | 47 |
| 39.5 | 33 |
| 28.4 | 32 |
| 26.9 | 30 |
| 39.7 | 30 |